For AcTb3, a structure optimized by DFT (GGA-PBE) gives the simulated PXRD pattern in this record (Cu Kα X-rays).
Kinematic intensities with the Lorentz-polarization factor, no thermal factor.

Principal peaks in the range 5° ≤ 2θ ≤ 70°, in order of rising 2θ:
hkl 1 1 2, 29.8°, I = 100
hkl 2 0 0, 34.3°, I = 35
hkl 0 0 4, 35.1°, I = 16
hkl 2 0 4, 49.9°, I = 24
hkl 3 1 2, 58.7°, I = 30
hkl 1 1 6, 59.7°, I = 14

Structural model:
```
data_AcTb3
_chemical_formula_sum 'Ac2 Tb6'
_cell_length_a 5.226
_cell_length_b 5.226
_cell_length_c 10.235
_cell_angle_alpha 90.00
_cell_angle_beta 90.00
_cell_angle_gamma 90.00
_symmetry_space_group_name_H-M 'I 4/m m m'
_symmetry_Int_Tables_number 139
_symmetry_space_group_name_Hall '-I 4 2'
loop_
_atom_site_label
_atom_site_type_symbol
_atom_site_fract_x
_atom_site_fract_y
_atom_site_fract_z
Ac1 Ac 0.000 0.000 0.000
Tb1 Tb 0.000 0.000 0.500
Tb2 Tb 0.000 0.500 0.250
```